# Pm4Tm3Sc2
Theoretical powder XRD pattern, Cu Kα (weighted mean of Kα1 and Kα2). Input: a crystal structure in Alexandria, relaxed with PBE.

Most intense lines, 2θ from 10° to 80°, in order of rising 2θ:
| h k l | two_theta | intensity |
| --- | --- | --- |
| 1 1 -3 | 31.16 | 100 |
| 3 1 0 | 31.28 | 99 |
| 2 0 3 | 36.00 | 68 |
| 4 0 -3 | 36.61 | 32 |
| 1 3 -3 | 61.69 | 28 |
| 5 1 3 | 61.83 | 28 |

Crystal structure
Unit cell a=10.9881 b=4.9898 c=10.5264 alpha=90.00 beta=107.69 gamma=90.00
Space group C2/m (No. 12)
Asymmetric unit:
Pm: 0.0006 0.0000 0.3303 (multiplicity 4)
Pm: 0.1666 0.5000 0.8888 (multiplicity 4)
Tm: 0.0000 0.0000 0.0000 (multiplicity 2)
Tm: 0.1671 0.5000 0.5540 (multiplicity 4)
Sc: 0.1693 0.5000 0.2251 (multiplicity 4)